(1)
This entry pairs a crystal structure of PrNdSb4Pd2 with its computed X-ray powder pattern. Radiation: Cu Kα. Structure: the GGA-PBE geometry in OQMD.
Neutral-atom scattering factors, no anomalous dispersion.

Principal peaks in the range 2θ from 5° to 70°, by intensity:
two_theta, d/Å, I/Imax
33.4, 2.684, 100.0
40.1, 2.251, 36.6
68.5, 1.369, 22.4
57.9, 1.592, 12.2
49.9, 1.827, 11.0
26.7, 3.344, 10.9
8.8, 9.993, 10.1
65.8, 1.418, 9.5
54.9, 1.672, 9.2
53.2, 1.723, 8.3

Structural model:
Lattice parameters (Å, degrees): 4.502 4.502 9.993 90.00 90.00 90.00
Sites, in units of the cell vectors:
1 Pr 0.000 0.000 0.000
2 Nd 0.500 0.500 0.495
3 Sb 0.000 0.000 0.399
4 Sb 0.000 0.500 0.747
5 Sb 0.500 0.000 0.747
6 Sb 0.500 0.500 0.096
7 Pd 0.000 0.500 0.248
8 Pd 0.500 0.000 0.248

(2)
This entry pairs a crystal structure of Y3Er3CoTe2 with its computed X-ray powder pattern. Radiation: Cu Kα. Structure: the GGA-PBE geometry in OQMD.
Neutral-atom scattering factors, no anomalous dispersion.

Principal peaks in the range 2θ from 5° to 70°, by intensity:
two_theta, d/Å, I/Imax
31.3, 2.854, 100.0
33.0, 2.717, 95.5
33.8, 2.652, 71.2
40.4, 2.235, 70.3
60.9, 1.520, 45.5
57.9, 1.592, 38.2
37.5, 2.396, 31.4
46.2, 1.965, 24.1
63.9, 1.457, 23.3
22.6, 3.930, 22.6

Structural model:
Lattice parameters (Å, degrees): 8.300 8.300 3.930 90.00 90.00 120.00
Sites, in units of the cell vectors:
1 Y 0.000 0.398 0.000
2 Y 0.398 0.000 0.000
3 Y 0.602 0.602 0.000
4 Er 0.000 0.766 0.500
5 Er 0.234 0.234 0.500
6 Er 0.766 0.000 0.500
7 Co 0.000 0.000 0.000
8 Te 0.333 0.667 0.500
9 Te 0.667 0.333 0.500

(3)
This entry pairs a crystal structure of Ta2W4Au3C3 with its computed X-ray powder pattern. Radiation: Cu Kα. Structure: the GGA-PBE geometry in OQMD.
Neutral-atom scattering factors, no anomalous dispersion.

Principal peaks in the range 2θ from 5° to 70°, by intensity:
two_theta, d/Å, I/Imax
38.6, 2.330, 100.0
32.9, 2.723, 23.7
40.0, 2.252, 19.6
52.8, 1.735, 14.2
58.7, 1.573, 12.9
58.8, 1.571, 6.4
69.0, 1.362, 2.8
36.4, 2.467, 0.5
34.5, 2.600, 0.5

Structural model:
Lattice parameters (Å, degrees): 5.445 5.445 13.874 101.37 101.37 60.06
Sites, in units of the cell vectors:
1 Ta 0.031 0.863 0.592
2 Ta 0.137 0.969 0.908
3 Ta 0.863 0.031 0.092
4 Ta 0.969 0.137 0.408
5 W 0.193 0.361 0.080
6 W 0.307 0.472 0.420
7 W 0.361 0.193 0.580
8 W 0.472 0.307 0.920
9 W 0.528 0.693 0.080
10 W 0.639 0.807 0.420
11 W 0.693 0.528 0.580
12 W 0.807 0.639 0.920
13 Au 0.084 0.284 0.749
14 Au 0.284 0.084 0.249
15 Au 0.452 0.548 0.750
16 Au 0.548 0.452 0.250
17 Au 0.716 0.916 0.751
18 Au 0.916 0.716 0.251
19 C 0.000 0.500 0.500
20 C 0.162 0.676 0.000
21 C 0.324 0.838 0.500
22 C 0.500 0.000 0.000
23 C 0.676 0.162 0.500
24 C 0.838 0.324 0.000